No. 1
Diffraction record for LiV4OF11. The X-ray diffraction stick pattern is calculated, not measured: it uses a cell relaxed with GGA+U and copper Kα.
Intensities are scaled so that the largest is 100.

Largest 12 diffraction maxima, sorted by position, 2θ from 10° to 90°:
(hkl)	d_spacing	Rel. int.
1 0 3	3.811	100
0 1 3	3.763	50
0 1 -5	2.749	19
1 2 1	2.743	9
2 2 0	2.290	14
1 1 -6	2.285	6
2 2 -4	1.909	11
2 0 6	1.902	10
0 2 6	1.882	10
1 2 -7	1.735	14
1 -1 8	1.732	14
-1 2 3	1.720	14

Structure:
```
data_LiV4OF11
_chemical_formula_sum 'Li2 V8 O2 F22'
_space_group_name_H-M_alt 'P -1'
_space_group_IT_number 2
_space_group_name_Hall '-P 1'
_cell_length_a 5.2819
_cell_length_b 5.4990
_cell_length_c 17.4170
_cell_angle_alpha 84.04
_cell_angle_beta 81.53
_cell_angle_gamma 61.33
loop_
_atom_site_label
_atom_site_fract_x
_atom_site_fract_y
_atom_site_fract_z
Li1 0.1250 0.4615 0.3196
V1 0.0000 0.5000 0.5000
V2 0.1264 0.6308 0.1247
V3 0.2668 0.7293 0.7484
V4 0.3810 0.8499 0.3715
V5 0.5000 0.0000 0.0000
O1 0.4450 0.5594 0.3117
F1 0.0231 0.9007 0.6625
F2 0.0235 0.5249 0.7795
F3 0.0370 0.9427 0.1878
F4 0.2027 0.3458 0.5971
F5 0.2072 0.3172 0.0643
F6 0.2185 0.7068 0.4666
F7 0.2645 0.1636 0.9109
F8 0.2829 0.1937 0.4339
F9 0.2868 0.7938 0.0343
F10 0.4836 0.5829 0.8419
F11 0.4989 0.9394 0.7126
```


No. 2
Diffraction record for Li3V2O4F2. The X-ray diffraction stick pattern is calculated, not measured: it uses a cell relaxed with GGA+U and copper Kα.
Intensities are scaled so that the largest is 100.

Largest 12 diffraction maxima, sorted by position, 2θ from 10° to 90°:
(hkl)	d_spacing	Rel. int.
0 0 2	7.469	34
0 0 3	4.979	100
0 0 4	3.734	16
0 0 5	2.988	11
1 -2 1	2.590	11
2 0 -1	2.578	15
1 -2 4	2.159	34
2 0 -4	2.153	33
1 2 4	2.087	29
1 -2 7	1.664	11
3 -2 0	1.524	17
0 4 0	1.492	10

Structure:
```
data_Li3V2O4F2
_chemical_formula_sum 'Li12 V8 O16 F8'
_space_group_name_H-M_alt 'P 1'
_space_group_IT_number 1
_space_group_name_Hall 'P 1'
_cell_length_a 5.2228
_cell_length_b 5.9712
_cell_length_c 14.9422
_cell_angle_alpha 91.13
_cell_angle_beta 90.73
_cell_angle_gamma 91.73
loop_
_atom_site_label
_atom_site_fract_x
_atom_site_fract_y
_atom_site_fract_z
Li1 0.0000 0.0000 0.0000
Li2 0.0000 0.4864 0.4973
Li3 0.0054 0.9707 0.4966
Li4 0.1694 0.7314 0.8650
Li5 0.1776 0.2256 0.8699
Li6 0.3039 0.4719 0.1182
Li7 0.3731 0.9861 0.1372
Li8 0.5090 0.2298 0.4961
Li9 0.5371 0.7376 0.9839
Li10 0.5556 0.2196 0.0003
Li11 0.7091 0.4714 0.8643
Li12 0.8385 0.7067 0.1236
V1 0.1757 0.2272 0.3256
V2 0.1848 0.7282 0.3357
V3 0.3427 0.9780 0.6591
V4 0.3507 0.4778 0.6594
V5 0.6717 0.9724 0.3336
V6 0.6822 0.4747 0.3297
V7 0.8430 0.2269 0.6672
V8 0.8454 0.7288 0.6624
O1 0.0118 0.9836 0.2697
O2 0.0146 0.4764 0.2657
O3 0.0183 0.4640 0.7282
O4 0.0192 0.9819 0.7284
O5 0.1632 0.7218 0.5878
O6 0.1799 0.2375 0.5861
O7 0.3371 0.4610 0.4016
O8 0.3507 0.9943 0.4050
O9 0.5009 0.7129 0.7232
O10 0.5027 0.2128 0.2647
O11 0.5144 0.2371 0.7262
O12 0.5266 0.7420 0.2647
O13 0.6783 0.4629 0.5901
O14 0.6927 0.9982 0.5903
O15 0.8422 0.2188 0.4050
O16 0.8517 0.7297 0.4053
F1 0.1737 0.7436 0.0941
F2 0.2115 0.2019 0.0756
F3 0.3267 0.9762 0.9221
F4 0.3698 0.4873 0.8998
F5 0.6276 0.4937 0.0721
F6 0.6804 0.9590 0.0727
F7 0.8483 0.2248 0.9144
F8 0.8488 0.7325 0.9120
```